For TlMoPO6, DFT lattice parameters and positions (PBE+U) gives the computed powder XRD pattern in this record (Cu Kα, 1.54184 Å).
Intensities are scaled so that the largest is 100.

Structural model:
Cell lengths 11.1331, 12.8145, 15.9685 Å; angles 90.00, 90.00, 90.00 degrees
Space group Fddd (No. 70, origin choice 2)
One atom of each set of equivalent atoms:
Tl  0.0802  0.3750  0.3750 (multiplicity 16)
Mo  0.1250  0.3423  0.6250 (multiplicity 16)
P  0.1250  0.1250  0.4933 (multiplicity 16)
O  0.0334  0.0687  0.4335 (multiplicity 32)
O  0.0616  0.0412  0.7044 (multiplicity 32)
O  0.0696  0.3216  0.1994 (multiplicity 32)

Peak list (12 most intense, 2θ = 10–80°, in order of rising 2θ)
2θ 21.14, I 78; 2θ 22.27, I 40; 2θ 25.61, I 40; 2θ 27.85, I 34; 2θ 27.96, I 20; 2θ 30.90, I 100; 2θ 35.96, I 30; 2θ 45.47, I 14; 2θ 46.33, I 18; 2θ 49.22, I 13; 2θ 50.63, I 16; 2θ 51.21, I 16